1.
For ZnIr2Se4, the PBE geometry in OQMD gives the simulated X-ray diffraction stick pattern in this record (λ = 1.5418 Å (Cu Kα)).
Kinematic intensities with the Lorentz-polarization factor, no thermal factor.

The 8 most intense peaks (2θ from 10° to 90°), low angle first:
| 2θ (°) | d/Å | I/Imax |
| --- | --- | --- |
| 14.47 | 6.122 | 87 |
| 27.90 | 3.197 | 87 |
| 33.81 | 2.651 | 95 |
| 44.39 | 2.041 | 57 |
| 48.57 | 1.875 | 100 |
| 50.95 | 1.792 | 21 |
| 60.49 | 1.531 | 21 |
| 81.12 | 1.186 | 25 |

Crystal structure
Cell lengths 7.498, 7.498, 7.498 Å; angles 60.00, 60.00, 60.00 degrees
Fractional coordinates of all 14 atoms:
Zn  0.125  0.125  0.125
Zn  0.875  0.875  0.875
Ir  0.000  0.500  0.500
Ir  0.500  0.000  0.500
Ir  0.500  0.500  0.000
Ir  0.500  0.500  0.500
Se  0.264  0.264  0.264
Se  0.264  0.264  0.707
Se  0.264  0.707  0.264
Se  0.293  0.736  0.736
Se  0.707  0.264  0.264
Se  0.736  0.293  0.736
Se  0.736  0.736  0.293
Se  0.736  0.736  0.736


2.
For ZnPt9, the PBE geometry in OQMD gives the simulated X-ray diffraction stick pattern in this record (λ = 1.5418 Å (Cu Kα)).
Kinematic intensities with the Lorentz-polarization factor, no thermal factor.

The 8 most intense peaks (2θ from 10° to 90°), low angle first:
| 2θ (°) | d/Å | I/Imax |
| --- | --- | --- |
| 37.59 | 2.393 | 33 |
| 39.35 | 2.290 | 66 |
| 39.69 | 2.271 | 100 |
| 44.04 | 2.056 | 21 |
| 45.59 | 1.990 | 44 |
| 46.65 | 1.947 | 32 |
| 67.27 | 1.392 | 28 |
| 80.46 | 1.194 | 21 |

Crystal structure
Cell lengths 2.797, 3.895, 42.457 Å; angles 90.00, 90.00, 90.00 degrees
Fractional coordinates of all 20 atoms:
Zn  0.250  0.250  0.184
Zn  0.750  0.750  0.816
Pt  0.250  0.250  0.246
Pt  0.250  0.250  0.315
Pt  0.250  0.250  0.382
Pt  0.250  0.250  0.450
Pt  0.250  0.250  0.517
Pt  0.250  0.250  0.584
Pt  0.250  0.250  0.652
Pt  0.250  0.250  0.720
Pt  0.250  0.250  0.791
Pt  0.750  0.750  0.209
Pt  0.750  0.750  0.280
Pt  0.750  0.750  0.348
Pt  0.750  0.750  0.416
Pt  0.750  0.750  0.483
Pt  0.750  0.750  0.550
Pt  0.750  0.750  0.618
Pt  0.750  0.750  0.685
Pt  0.750  0.750  0.754


3.
For CsHf, the PBE geometry in OQMD gives the simulated X-ray diffraction stick pattern in this record (λ = 1.5418 Å (Cu Kα)).
Kinematic intensities with the Lorentz-polarization factor, no thermal factor.

The 8 most intense peaks (2θ from 10° to 90°), low angle first:
| 2θ (°) | d/Å | I/Imax |
| --- | --- | --- |
| 22.73 | 3.912 | 100 |
| 32.27 | 2.774 | 84 |
| 32.46 | 2.758 | 84 |
| 39.84 | 2.263 | 24 |
| 46.43 | 1.956 | 31 |
| 52.17 | 1.753 | 22 |
| 57.67 | 1.598 | 32 |
| 64.75 | 1.440 | 23 |

Crystal structure
Cell lengths 5.548, 5.548, 6.737 Å; angles 90.00, 90.00, 120.00 degrees
Fractional coordinates of all 4 atoms:
Cs  0.000  0.000  0.000
Cs  0.000  0.000  0.500
Hf  0.333  0.667  0.250
Hf  0.667  0.333  0.750


4.
For Gd2Al8Pd, the PBE geometry in OQMD gives the simulated X-ray diffraction stick pattern in this record (λ = 1.5418 Å (Cu Kα)).
Kinematic intensities with the Lorentz-polarization factor, no thermal factor.

The 8 most intense peaks (2θ from 10° to 90°), low angle first:
| 2θ (°) | d/Å | I/Imax |
| --- | --- | --- |
| 20.59 | 4.313 | 98 |
| 23.81 | 3.737 | 25 |
| 29.28 | 3.050 | 30 |
| 31.68 | 2.824 | 61 |
| 38.09 | 2.363 | 100 |
| 41.89 | 2.157 | 47 |
| 53.46 | 1.714 | 38 |
| 73.98 | 1.281 | 28 |

Crystal structure
Cell lengths 4.313, 4.313, 11.210 Å; angles 90.00, 90.00, 90.00 degrees
Fractional coordinates of all 11 atoms:
Gd  0.000  0.000  0.188
Gd  0.000  0.000  0.812
Al  0.000  0.500  0.000
Al  0.000  0.500  0.375
Al  0.000  0.500  0.625
Al  0.500  0.000  0.000
Al  0.500  0.000  0.375
Al  0.500  0.000  0.625
Al  0.500  0.500  0.195
Al  0.500  0.500  0.805
Pd  0.000  0.000  0.500


5.
For GdYCu2Sn, the PBE geometry in OQMD gives the simulated X-ray diffraction stick pattern in this record (λ = 1.5418 Å (Cu Kα)).
Kinematic intensities with the Lorentz-polarization factor, no thermal factor.

The 8 most intense peaks (2θ from 10° to 90°), low angle first:
| 2θ (°) | d/Å | I/Imax |
| --- | --- | --- |
| 28.58 | 3.123 | 28 |
| 33.06 | 2.709 | 100 |
| 35.74 | 2.512 | 62 |
| 37.94 | 2.371 | 20 |
| 38.81 | 2.320 | 48 |
| 42.70 | 2.118 | 28 |
| 56.87 | 1.619 | 32 |
| 65.08 | 1.433 | 20 |

Crystal structure
Cell lengths 3.645, 4.235, 13.868 Å; angles 90.00, 90.00, 90.00 degrees
Fractional coordinates of all 10 atoms:
Gd  0.000  0.000  0.000
Gd  0.000  0.500  0.500
Y  0.000  0.000  0.261
Y  0.000  0.500  0.761
Cu  0.500  0.000  0.429
Cu  0.500  0.000  0.832
Cu  0.500  0.500  0.332
Cu  0.500  0.500  0.929
Sn  0.500  0.000  0.631
Sn  0.500  0.500  0.131


6.
For TmNb2N3, the PBE geometry in OQMD gives the simulated X-ray diffraction stick pattern in this record (λ = 1.5418 Å (Cu Kα)).
Kinematic intensities with the Lorentz-polarization factor, no thermal factor.

The 8 most intense peaks (2θ from 10° to 90°), low angle first:
| 2θ (°) | d/Å | I/Imax |
| --- | --- | --- |
| 34.18 | 2.623 | 100 |
| 34.53 | 2.597 | 29 |
| 39.78 | 2.266 | 96 |
| 57.28 | 1.608 | 32 |
| 57.75 | 1.596 | 32 |
| 68.42 | 1.371 | 14 |
| 68.63 | 1.367 | 25 |
| 72.00 | 1.312 | 16 |

Crystal structure
Cell lengths 3.217, 3.217, 7.792 Å; angles 90.00, 90.00, 120.00 degrees
Fractional coordinates of all 6 atoms:
Tm  0.000  0.000  0.000
Nb  0.333  0.667  0.346
Nb  0.667  0.333  0.654
N  0.000  0.000  0.500
N  0.333  0.667  0.819
N  0.667  0.333  0.181


7.
For La2YNi2B2N3, the PBE geometry in OQMD gives the simulated X-ray diffraction stick pattern in this record (λ = 1.5418 Å (Cu Kα)).
Kinematic intensities with the Lorentz-polarization factor, no thermal factor.

The 8 most intense peaks (2θ from 10° to 90°), low angle first:
| 2θ (°) | d/Å | I/Imax |
| --- | --- | --- |
| 27.75 | 3.214 | 100 |
| 33.27 | 2.693 | 68 |
| 34.42 | 2.605 | 41 |
| 35.64 | 2.519 | 42 |
| 36.43 | 2.466 | 56 |
| 39.10 | 2.304 | 71 |
| 49.48 | 1.842 | 50 |
| 62.98 | 1.476 | 42 |

Crystal structure
Cell lengths 10.202, 10.202, 10.202 Å; angles 159.19, 159.19, 29.59 degrees
Fractional coordinates of all 10 atoms:
La  0.127  0.127  0.000
La  0.873  0.873  0.000
Y  0.500  0.500  0.000
Ni  0.250  0.750  0.500
Ni  0.750  0.250  0.500
B  0.305  0.305  0.000
B  0.695  0.695  0.000
N  0.000  0.000  0.000
N  0.379  0.379  0.000
N  0.621  0.621  0.000


8.
For KHgP3O9, the PBE geometry in OQMD gives the simulated X-ray diffraction stick pattern in this record (λ = 1.5418 Å (Cu Kα)).
Kinematic intensities with the Lorentz-polarization factor, no thermal factor.

The 8 most intense peaks (2θ from 10° to 90°), low angle first:
| 2θ (°) | d/Å | I/Imax |
| --- | --- | --- |
| 16.01 | 5.537 | 52 |
| 16.47 | 5.383 | 100 |
| 19.22 | 4.617 | 42 |
| 23.77 | 3.743 | 65 |
| 26.93 | 3.311 | 40 |
| 28.17 | 3.168 | 50 |
| 29.00 | 3.079 | 62 |
| 29.92 | 2.986 | 44 |

Crystal structure
Cell lengths 5.575, 11.073, 12.319 Å; angles 90.00, 90.00, 90.00 degrees
Fractional coordinates of all 56 atoms:
K  0.092  0.116  0.079
K  0.408  0.884  0.579
K  0.592  0.384  0.921
K  0.908  0.616  0.421
Hg  0.099  0.479  0.137
Hg  0.401  0.521  0.637
Hg  0.599  0.021  0.863
Hg  0.901  0.979  0.363
P  0.087  0.195  0.814
P  0.105  0.842  0.860
P  0.115  0.582  0.873
P  0.385  0.418  0.373
P  0.395  0.158  0.360
P  0.413  0.805  0.314
P  0.587  0.305  0.186
P  0.605  0.658  0.140
P  0.615  0.918  0.127
P  0.885  0.082  0.627
P  0.895  0.342  0.640
P  0.913  0.695  0.686
O  0.012  0.437  0.571
O  0.021  0.492  0.953
O  0.079  0.316  0.740
O  0.088  0.091  0.721
O  0.099  0.715  0.926
O  0.138  0.689  0.619
O  0.143  0.438  0.322
O  0.147  0.137  0.315
O  0.179  0.810  0.373
O  0.321  0.190  0.873
O  0.353  0.863  0.815
O  0.357  0.562  0.822
O  0.362  0.311  0.119
O  0.401  0.285  0.426
O  0.412  0.909  0.221
O  0.421  0.684  0.240
O  0.479  0.508  0.453
O  0.488  0.563  0.071
O  0.512  0.063  0.429
O  0.521  0.008  0.047
O  0.579  0.184  0.260
O  0.588  0.409  0.279
O  0.599  0.785  0.074
O  0.638  0.811  0.381
O  0.643  0.062  0.678
O  0.647  0.363  0.685
O  0.679  0.690  0.627
O  0.821  0.310  0.127
O  0.853  0.637  0.185
O  0.857  0.938  0.178
O  0.862  0.189  0.881
O  0.901  0.215  0.574
O  0.912  0.591  0.779
O  0.921  0.816  0.760
O  0.979  0.992  0.547
O  0.988  0.937  0.929


9.
For Zn2Si2P3N, the PBE geometry in OQMD gives the simulated X-ray diffraction stick pattern in this record (λ = 1.5418 Å (Cu Kα)).
Kinematic intensities with the Lorentz-polarization factor, no thermal factor.

The 8 most intense peaks (2θ from 10° to 90°), low angle first:
| 2θ (°) | d/Å | I/Imax |
| --- | --- | --- |
| 19.18 | 4.627 | 18 |
| 30.03 | 2.976 | 86 |
| 30.62 | 2.919 | 100 |
| 39.76 | 2.267 | 26 |
| 49.57 | 1.839 | 34 |
| 50.50 | 1.807 | 17 |
| 50.89 | 1.794 | 33 |
| 59.05 | 1.564 | 17 |

Crystal structure
Cell lengths 10.997, 5.240, 5.166 Å; angles 90.00, 116.41, 90.00 degrees
Fractional coordinates of all 16 atoms:
Zn  0.116  0.000  0.339
Zn  0.384  0.500  0.661
Zn  0.616  0.500  0.339
Zn  0.884  0.000  0.661
Si  0.111  0.562  0.895
Si  0.389  0.062  0.105
Si  0.611  0.062  0.895
Si  0.889  0.562  0.105
P  0.000  0.313  0.500
P  0.249  0.284  0.230
P  0.251  0.784  0.770
P  0.500  0.813  0.500
P  0.749  0.784  0.230
P  0.751  0.284  0.770
N  0.000  0.732  0.000
N  0.500  0.232  0.000


10.
For Gd2TmSn3Ir2Pd, the PBE geometry in OQMD gives the simulated X-ray diffraction stick pattern in this record (λ = 1.5418 Å (Cu Kα)).
Kinematic intensities with the Lorentz-polarization factor, no thermal factor.

The 8 most intense peaks (2θ from 10° to 90°), low angle first:
| 2θ (°) | d/Å | I/Imax |
| --- | --- | --- |
| 32.87 | 2.725 | 100 |
| 35.70 | 2.515 | 93 |
| 36.36 | 2.471 | 29 |
| 41.43 | 2.180 | 30 |
| 43.21 | 2.094 | 19 |
| 46.04 | 1.971 | 26 |
| 60.06 | 1.541 | 20 |
| 66.85 | 1.400 | 21 |

Crystal structure
Cell lengths 3.943, 7.534, 7.534 Å; angles 119.79, 90.00, 90.00 degrees
Fractional coordinates of all 9 atoms:
Gd  0.000  0.205  0.795
Gd  0.000  0.795  0.205
Tm  0.000  0.616  0.616
Sn  0.500  0.206  0.469
Sn  0.500  0.469  0.206
Sn  0.500  0.943  0.943
Ir  0.500  0.540  0.869
Ir  0.500  0.869  0.540
Pd  0.000  0.209  0.209


11.
For Sm2HoGe4Pd4, the PBE geometry in OQMD gives the simulated X-ray diffraction stick pattern in this record (λ = 1.5418 Å (Cu Kα)).
Kinematic intensities with the Lorentz-polarization factor, no thermal factor.

The 8 most intense peaks (2θ from 10° to 90°), low angle first:
| 2θ (°) | d/Å | I/Imax |
| --- | --- | --- |
| 33.49 | 2.676 | 100 |
| 34.11 | 2.628 | 30 |
| 35.35 | 2.539 | 81 |
| 38.17 | 2.358 | 51 |
| 42.51 | 2.126 | 40 |
| 42.75 | 2.115 | 33 |
| 46.25 | 1.963 | 22 |
| 61.88 | 1.500 | 22 |

Crystal structure
Cell lengths 8.194, 8.194, 8.194 Å; angles 149.92, 128.66, 60.66 degrees
Fractional coordinates of all 11 atoms:
Sm  0.126  0.126  0.000
Sm  0.874  0.874  0.000
Ho  0.500  0.000  0.500
Ge  0.192  0.500  0.692
Ge  0.284  0.784  0.500
Ge  0.716  0.216  0.500
Ge  0.808  0.500  0.308
Pd  0.125  0.325  0.800
Pd  0.475  0.675  0.800
Pd  0.525  0.325  0.200
Pd  0.875  0.675  0.200


12.
For BaAg2GeSe2S2, the PBE geometry in OQMD gives the simulated X-ray diffraction stick pattern in this record (λ = 1.5418 Å (Cu Kα)).
Kinematic intensities with the Lorentz-polarization factor, no thermal factor.

The 8 most intense peaks (2θ from 10° to 90°), low angle first:
| 2θ (°) | d/Å | I/Imax |
| --- | --- | --- |
| 25.29 | 3.521 | 38 |
| 27.67 | 3.224 | 100 |
| 27.90 | 3.197 | 85 |
| 35.70 | 2.515 | 30 |
| 36.44 | 2.465 | 38 |
| 45.91 | 1.977 | 44 |
| 46.36 | 1.958 | 50 |
| 50.61 | 1.804 | 48 |

Crystal structure
Cell lengths 6.553, 6.477, 7.044 Å; angles 57.80, 56.76, 65.44 degrees
Fractional coordinates of all 8 atoms:
Ba  0.000  0.000  0.000
Ag  0.243  0.243  0.257
Ag  0.743  0.743  0.757
Ge  0.512  0.512  0.488
Se  0.152  0.538  0.462
Se  0.538  0.152  0.848
S  0.474  0.851  0.526
S  0.851  0.474  0.149


13.
For Na4CdSnPd2, the PBE geometry in OQMD gives the simulated X-ray diffraction stick pattern in this record (λ = 1.5418 Å (Cu Kα)).
Kinematic intensities with the Lorentz-polarization factor, no thermal factor.

The 8 most intense peaks (2θ from 10° to 90°), low angle first:
| 2θ (°) | d/Å | I/Imax |
| --- | --- | --- |
| 22.34 | 3.980 | 77 |
| 36.64 | 2.453 | 52 |
| 37.00 | 2.430 | 100 |
| 43.33 | 2.088 | 27 |
| 43.96 | 2.060 | 12 |
| 52.78 | 1.734 | 18 |
| 66.20 | 1.412 | 35 |
| 66.91 | 1.398 | 16 |

Crystal structure
Cell lengths 4.906, 4.906, 6.808 Å; angles 90.00, 90.00, 90.00 degrees
Fractional coordinates of all 8 atoms:
Na  0.000  0.000  0.000
Na  0.000  0.500  0.241
Na  0.500  0.000  0.759
Na  0.500  0.500  0.500
Cd  0.500  0.500  0.000
Sn  0.000  0.000  0.500
Pd  0.000  0.500  0.733
Pd  0.500  0.000  0.267